# 1
Starting from a DFT-relaxed cell (GGA-PBE, the Materials Project), the powder diffractogram of LiSb2P5O16 was simulated for Cu Ka.

Crystal structure
Lattice parameters (Å, degrees): 7.392 10.594 10.095 90.00 107.18 90.00
Positions (direct):
Li (0.000, 0.153, 0.000)
Li (0.000, 0.847, 0.500)
Sb (0.526, 0.362, 0.240)
Sb (0.526, 0.638, 0.740)
Sb (0.968, 0.133, 0.599)
Sb (0.968, 0.867, 0.099)
P (0.271, 0.363, 0.621)
P (0.271, 0.637, 0.121)
P (0.358, 0.213, 0.885)
P (0.358, 0.787, 0.385)
P (0.394, 0.031, 0.248)
P (0.394, 0.969, 0.748)
P (0.644, 0.393, 0.573)
P (0.644, 0.607, 0.073)
P (0.787, 0.099, 0.261)
P (0.787, 0.901, 0.761)
O (0.103, 0.286, 0.535)
O (0.103, 0.714, 0.035)
O (0.147, 0.207, 0.869)
O (0.147, 0.793, 0.369)
O (0.233, 0.492, 0.668)
O (0.233, 0.508, 0.168)
O (0.237, 0.019, 0.624)
O (0.237, 0.981, 0.124)
O (0.371, 0.159, 0.301)
O (0.371, 0.841, 0.801)
O (0.392, 0.278, 0.750)
O (0.392, 0.722, 0.250)
O (0.414, 0.370, 0.530)
O (0.414, 0.630, 0.030)
O (0.434, 0.071, 0.872)
O (0.434, 0.929, 0.372)
O (0.491, 0.271, 0.012)
O (0.491, 0.729, 0.512)
O (0.587, 0.024, 0.203)
O (0.587, 0.976, 0.703)
O (0.668, 0.441, 0.436)
O (0.668, 0.559, 0.936)
O (0.694, 0.496, 0.686)
O (0.694, 0.504, 0.186)
O (0.737, 0.267, 0.622)
O (0.737, 0.733, 0.122)
O (0.756, 0.236, 0.298)
O (0.756, 0.764, 0.798)
O (0.882, 0.087, 0.147)
O (0.882, 0.913, 0.647)
O (0.895, 0.031, 0.399)
O (0.895, 0.969, 0.899)

Principal peaks in the range 2θ = 10–90°, sorted by position:
12.41°, I = 31
12.53°, I = 21
15.08°, I = 62
15.61°, I = 100
18.40°, I = 33
18.97°, I = 16
25.24°, I = 26
26.61°, I = 18
28.25°, I = 28
29.03°, I = 38
29.52°, I = 42
31.78°, I = 28

***

# 2
Starting from a DFT-relaxed cell (GGA-PBE, the Materials Project), the powder diffractogram of Li3Sb2P3O12 was simulated for Cu Ka.

Crystal structure
Lattice parameters (Å, degrees): 8.578 8.578 8.545 113.72 113.72 67.18
Positions (direct):
Li (0.000, 0.500, 0.500)
Li (0.137, 0.216, 0.122)
Li (0.216, 0.137, 0.622)
Li (0.500, 0.000, 0.000)
Li (0.784, 0.863, 0.378)
Li (0.863, 0.784, 0.878)
Sb (0.163, 0.639, 0.340)
Sb (0.361, 0.837, 0.160)
Sb (0.639, 0.163, 0.840)
Sb (0.837, 0.361, 0.660)
P (0.090, 0.910, 0.750)
P (0.244, 0.402, 0.930)
P (0.402, 0.244, 0.430)
P (0.598, 0.756, 0.570)
P (0.756, 0.598, 0.070)
P (0.910, 0.090, 0.250)
O (0.065, 0.070, 0.191)
O (0.070, 0.065, 0.691)
O (0.102, 0.394, 0.739)
O (0.103, 0.733, 0.589)
O (0.169, 0.389, 0.058)
O (0.225, 0.400, 0.400)
O (0.267, 0.897, 0.911)
O (0.306, 0.566, 0.993)
O (0.389, 0.169, 0.558)
O (0.394, 0.102, 0.239)
O (0.400, 0.225, 0.900)
O (0.434, 0.694, 0.507)
O (0.566, 0.306, 0.493)
O (0.600, 0.775, 0.100)
O (0.606, 0.898, 0.761)
O (0.611, 0.831, 0.442)
O (0.694, 0.434, 0.007)
O (0.733, 0.103, 0.089)
O (0.775, 0.600, 0.600)
O (0.831, 0.611, 0.942)
O (0.897, 0.267, 0.411)
O (0.898, 0.606, 0.261)
O (0.930, 0.935, 0.309)
O (0.935, 0.930, 0.809)

Principal peaks in the range 2θ = 10–90°, sorted by position:
14.01°, I = 23
18.70°, I = 26
18.96°, I = 64
20.94°, I = 100
23.27°, I = 38
28.24°, I = 19
32.84°, I = 57
32.97°, I = 24
33.12°, I = 51
33.31°, I = 27
34.37°, I = 30
47.57°, I = 27

***

# 3
Starting from a DFT-relaxed cell (GGA-PBE, the Materials Project), the powder diffractogram of Li3Sb2P3O12 was simulated for Cu Ka.

Crystal structure
Lattice parameters (Å, degrees): 5.143 5.143 20.095 90.10 90.10 67.08
Positions (direct):
Li (0.001, 0.001, 0.337)
Li (0.337, 0.337, 0.260)
Li (0.339, 0.339, 0.593)
Li (0.661, 0.661, 0.407)
Li (0.663, 0.663, 0.740)
Li (0.999, 0.999, 0.663)
Sb (0.000, 0.000, 0.000)
Sb (0.000, 0.000, 0.500)
Sb (0.009, 0.009, 0.825)
Sb (0.991, 0.991, 0.175)
P (0.354, 0.354, 0.415)
P (0.354, 0.354, 0.742)
P (0.356, 0.356, 0.090)
P (0.644, 0.644, 0.910)
P (0.646, 0.646, 0.258)
P (0.646, 0.646, 0.585)
O (0.236, 0.690, 0.086)
O (0.247, 0.247, 0.355)
O (0.248, 0.689, 0.415)
O (0.250, 0.250, 0.028)
O (0.250, 0.688, 0.744)
O (0.251, 0.251, 0.681)
O (0.253, 0.253, 0.806)
O (0.264, 0.264, 0.483)
O (0.275, 0.275, 0.158)
O (0.310, 0.764, 0.914)
O (0.311, 0.752, 0.585)
O (0.312, 0.750, 0.256)
O (0.688, 0.250, 0.744)
O (0.689, 0.248, 0.415)
O (0.690, 0.236, 0.086)
O (0.725, 0.725, 0.842)
O (0.736, 0.736, 0.517)
O (0.747, 0.747, 0.194)
O (0.749, 0.749, 0.319)
O (0.750, 0.312, 0.256)
O (0.750, 0.750, 0.972)
O (0.752, 0.311, 0.585)
O (0.753, 0.753, 0.645)
O (0.764, 0.310, 0.914)

Principal peaks in the range 2θ = 10–90°, sorted by position:
13.22°, I = 25
18.73°, I = 49
20.72°, I = 43
23.01°, I = 62
24.63°, I = 30
31.49°, I = 35
32.75°, I = 100
35.15°, I = 47
41.69°, I = 23
46.99°, I = 28
58.45°, I = 21
60.79°, I = 29